This entry pairs a crystal structure of Pm2Zn3Hg with its theoretical powder diffractogram. Radiation: λ = 1.5418 Å (Cu Kα). Structure: a structure optimized by DFT (PBE).
Peak positions follow from Bragg's law for the DFT cell and can differ from measured ones.

Peak list (8 most intense, 2θ = 10–90°, by angle)
hkl 1 1 3, d = 3.913 Å, I = 11
hkl 2 0 4, d = 2.700 Å, I = 100
hkl 0 4 0, d = 2.326 Å, I = 22
hkl 0 2 6, d = 2.320 Å, I = 43
hkl 4 0 0, d = 1.821 Å, I = 10
hkl 2 4 4, d = 1.761 Å, I = 19
hkl 4 4 0, d = 1.433 Å, I = 28
hkl 2 2 10, d = 1.402 Å, I = 17

Cell and atoms:
```
data_Pm2Zn3Hg
_symmetry_space_group_name_H-M 'F m m m'
_symmetry_Int_Tables_number 69
_symmetry_space_group_name_Hall '-F 2 2'
_cell_length_a 7.285
_cell_length_b 9.302
_cell_length_c 16.059
_cell_angle_alpha 90.00
_cell_angle_beta 90.00
_cell_angle_gamma 90.00
loop_
_atom_site_label
_atom_site_type_symbol
_atom_site_fract_x
_atom_site_fract_y
_atom_site_fract_z
Pm1 Pm 0.248 0.000 0.000
Pm2 Pm 0.250 0.250 0.250
Zn1 Zn 0.000 0.000 0.339
Zn2 Zn 0.000 0.242 0.419
Hg1 Hg 0.000 0.000 0.167
```